For Zr4CdHg3, a cell relaxed with PBE gives the calculated powder XRD pattern in this record (a wavelength of 1.5418 Å).
Intensities are scaled so that the largest is 100.

Structure:
Lattice parameters (Å, degrees): 4.453 4.453 17.408 90.00 90.00 90.00
Fractional coordinates of all 16 atoms:
Zr: 0.000 0.500 0.126
Zr: 0.000 0.500 0.374
Zr: 0.000 0.500 0.626
Zr: 0.000 0.500 0.874
Zr: 0.500 0.000 0.126
Zr: 0.500 0.000 0.374
Zr: 0.500 0.000 0.626
Zr: 0.500 0.000 0.874
Cd: 0.000 0.000 0.000
Cd: 0.500 0.500 0.500
Hg: 0.000 0.000 0.250
Hg: 0.000 0.000 0.500
Hg: 0.000 0.000 0.750
Hg: 0.500 0.500 0.000
Hg: 0.500 0.500 0.250
Hg: 0.500 0.500 0.750

Peak list (10 most intense, 10° ≤ 2θ ≤ 90°, sorted by position)
Position (°2θ)	I_rel
20.4	8.9
28.3	8.5
35.2	100.0
40.5	33.9
41.5	16.2
58.6	11.4
59.4	22.1
70.3	26.4
71.6	12.5
74.4	11.3